1.
Structure and simulated powder X-ray diffraction pattern of TmHfFe (a structure optimized by DFT (GGA-PBE); a wavelength of 1.5418 Å).

Structural model:
```
TmHfFe
1.0
6.797 0.000 0.000
0.000 4.331 0.000
-0.024 0.000 12.202
Tm Hf Fe
6 6 6
Cartesian
0.041 1.083 3.510
2.579 1.083 1.064
3.276 1.083 4.622
3.497 3.249 7.580
4.194 3.249 11.138
6.732 3.249 8.691
0.276 3.249 1.053
0.976 3.249 5.603
2.261 1.083 9.621
4.511 3.249 2.581
5.797 1.083 6.599
6.497 1.083 11.149
1.316 3.249 10.954
1.541 1.083 6.984
2.040 3.249 3.025
4.733 1.083 9.177
5.231 3.249 5.218
5.457 1.083 1.248
```

The 10 most intense peaks (2θ = 15–90°), in order of falling intensity:
2θ/deg	I/Imax
32.96	1000
41.70	396
34.36	349
36.71	347
33.52	337
36.01	203
42.55	173
39.24	151
40.48	149
25.50	141

---

2.
Structure and simulated powder X-ray diffraction pattern of Hf3VFe8 (a structure optimized by DFT (GGA-PBE); a wavelength of 1.5418 Å).

Structural model:
```
Hf3VFe8
1.0
2.441 1.409 7.983
-2.441 1.409 7.983
0.000 -2.818 7.983
Hf V Fe
3 1 8
Cartesian
0.000 0.000 0.000
0.000 0.000 3.051
0.000 0.000 14.868
0.000 0.000 11.928
0.000 -1.412 5.451
-1.223 0.706 5.451
-1.220 -0.704 9.489
0.000 0.000 7.472
1.223 0.706 5.451
1.220 -0.704 9.489
0.000 1.408 9.489
0.000 0.000 19.448
```

The 10 most intense peaks (2θ = 15–90°), in order of falling intensity:
2θ/deg	I/Imax
43.46	1000
36.81	633
66.30	223
78.31	212
70.89	183
45.50	161
22.30	159
70.93	110
89.81	101
21.34	54

---

3.
Structure and simulated powder X-ray diffraction pattern of Hf9FeW4 (a structure optimized by DFT (GGA-PBE); a wavelength of 1.5418 Å).

Structural model:
```
Hf9FeW4
1.0
8.688 0.000 0.000
-4.344 7.524 0.000
0.000 0.000 8.473
Hf Fe W
18 2 8
Cartesian
-1.637 4.071 2.118
0.000 3.036 4.741
0.000 3.036 7.968
-1.715 6.006 4.741
-1.715 6.006 7.968
2.629 1.518 0.505
2.629 1.518 3.731
1.637 4.071 2.118
0.000 6.906 2.118
4.344 0.618 6.355
2.707 3.453 6.355
1.715 6.006 4.741
1.715 6.006 7.968
6.059 1.518 0.505
6.059 1.518 3.731
4.344 4.488 0.505
4.344 4.488 3.731
5.981 3.453 6.355
0.000 5.016 6.355
4.344 2.508 2.118
0.000 0.000 0.000
0.000 0.000 4.236
0.000 1.690 2.118
-2.881 6.679 2.118
1.463 0.845 6.355
2.881 6.679 2.118
7.225 0.845 6.355
4.344 5.834 6.355
```

The 10 most intense peaks (2θ = 15–90°), in order of falling intensity:
2θ/deg	I/Imax
38.11	1000
37.39	780
39.92	460
66.60	285
63.12	273
33.90	270
65.86	233
64.33	196
41.58	195
35.80	178

---

4.
Structure and simulated powder X-ray diffraction pattern of HfZn6Fe6 (a structure optimized by DFT (GGA-PBE); a wavelength of 1.5418 Å).

Structural model:
```
HfZn6Fe6
1.0
-2.430 4.265 4.266
2.430 -4.265 4.266
2.430 4.265 -4.266
Hf Zn Fe
1 6 6
Cartesian
0.000 0.000 0.000
2.430 1.716 0.000
0.000 0.000 2.862
0.000 2.970 0.000
0.000 5.560 0.000
0.000 0.000 5.671
0.000 2.549 4.266
1.215 2.132 -2.133
1.215 -2.132 2.133
2.430 0.000 1.878
-1.215 2.132 2.133
1.215 2.132 2.133
0.000 4.265 2.388
```

The 10 most intense peaks (2θ = 15–90°), in order of falling intensity:
2θ/deg	I/Imax
42.49	1000
36.61	632
42.83	607
42.38	514
48.08	253
77.83	236
77.59	224
70.44	210
36.99	208
29.77	191

---

5.
Structure and simulated powder X-ray diffraction pattern of Hf8Zn2Fe (a structure optimized by DFT (GGA-PBE); a wavelength of 1.5418 Å).

Structural model:
```
Hf8Zn2Fe
1.0
7.871 -2.327 0.000
7.871 2.327 0.000
-0.327 0.000 5.913
Hf Zn Fe
8 2 1
Cartesian
0.361 0.000 1.503
3.233 0.000 0.623
5.161 0.000 3.452
6.435 0.000 0.396
8.979 0.000 5.517
10.254 0.000 2.462
12.182 0.000 5.291
15.054 0.000 4.410
2.286 0.000 3.878
13.129 0.000 2.035
7.707 0.000 2.957
```

The 10 most intense peaks (2θ = 15–90°), in order of falling intensity:
2θ/deg	I/Imax
36.73	1000
37.06	867
38.70	471
38.34	310
34.43	295
55.61	210
68.75	186
30.28	156
50.65	139
68.97	129

---

6.
Structure and simulated powder X-ray diffraction pattern of Hf4ZrFe5 (a structure optimized by DFT (GGA-PBE); a wavelength of 1.5418 Å).

Structural model:
```
Hf4ZrFe5
1.0
3.147 0.000 0.000
0.000 3.147 0.000
0.000 0.000 15.673
Hf Zr Fe
4 1 5
Cartesian
0.000 0.000 1.562
0.000 0.000 4.685
0.000 0.000 10.987
0.000 0.000 14.111
0.000 0.000 7.836
1.573 1.573 0.000
1.573 1.573 3.121
1.573 1.573 6.237
1.573 1.573 9.436
1.573 1.573 12.551
```

The 10 most intense peaks (2θ = 15–90°), in order of falling intensity:
2θ/deg	I/Imax
40.60	1000
73.81	221
28.36	180
58.67	111
73.98	109
28.48	89
50.29	80
66.46	72
87.94	72
58.93	56

---

7.
Structure and simulated powder X-ray diffraction pattern of HfZr2Fe9 (a structure optimized by DFT (GGA-PBE); a wavelength of 1.5418 Å).

Structural model:
```
HfZr2Fe9
1.0
2.454 1.417 7.984
-2.454 1.417 7.984
0.000 -2.833 7.984
Hf Zr Fe
1 2 9
Cartesian
0.000 0.000 0.000
0.000 0.000 3.384
0.000 0.000 20.569
-1.235 -0.713 9.978
0.000 0.000 7.976
0.000 -1.426 13.975
-1.235 0.713 13.975
0.000 0.000 11.976
1.235 -0.713 9.978
0.000 1.426 9.978
0.000 0.000 15.976
1.235 0.713 13.975
```

The 10 most intense peaks (2θ = 15–90°), in order of falling intensity:
2θ/deg	I/Imax
43.27	1000
36.66	651
33.63	356
42.72	316
70.54	190
77.85	166
65.97	157
45.44	154
64.03	100
46.76	88

---

8.
Structure and simulated powder X-ray diffraction pattern of FeHg4 (a structure optimized by DFT (GGA-PBE); a wavelength of 1.5418 Å).

Structural model:
```
FeHg4
1.0
12.469 0.000 0.000
0.000 2.946 0.000
-4.911 0.000 6.120
Fe Hg
2 8
Cartesian
0.000 0.000 0.000
6.235 1.473 0.000
-1.481 1.473 1.857
1.846 1.473 1.485
-0.523 0.000 4.635
2.804 0.000 4.263
4.753 0.000 1.857
8.081 0.000 1.485
5.712 1.473 4.635
9.039 1.473 4.263
```

The 10 most intense peaks (2θ = 15–90°), in order of falling intensity:
2θ/deg	I/Imax
37.49	1000
29.31	592
29.18	589
36.97	548
46.42	368
39.35	325
31.74	285
35.54	281
60.86	219
71.06	202

---

9.
Structure and simulated powder X-ray diffraction pattern of FeHg5 (a structure optimized by DFT (GGA-PBE); a wavelength of 1.5418 Å).

Structural model:
```
FeHg5
1.0
14.408 0.000 0.000
0.000 2.965 0.000
-6.909 0.000 7.203
Fe Hg
2 10
Cartesian
0.000 0.000 0.000
7.204 1.482 0.000
-4.591 1.482 7.137
0.046 1.482 2.318
0.248 0.000 4.886
4.886 0.000 0.068
3.752 0.000 3.582
2.613 0.000 7.137
7.250 0.000 2.318
7.452 1.482 4.886
12.090 1.482 0.068
10.956 1.482 3.582
```

The 10 most intense peaks (2θ = 15–90°), in order of falling intensity:
2θ/deg	I/Imax
40.77	1000
28.16	794
27.24	745
31.37	607
40.04	561
24.73	546
37.47	468
36.01	456
68.80	391
44.10	390

---

10.
Structure and simulated powder X-ray diffraction pattern of Fe4Hg (a structure optimized by DFT (GGA-PBE); a wavelength of 1.5418 Å).

Structural model:
```
Fe4Hg
1.0
2.990 0.000 0.000
0.000 2.990 0.000
0.000 0.000 15.245
Fe Hg
8 2
Cartesian
0.000 0.000 1.849
0.000 0.000 4.516
0.000 0.000 10.729
0.000 0.000 13.396
1.495 1.495 3.107
1.495 1.495 5.773
1.495 1.495 9.472
1.495 1.495 12.138
0.000 0.000 7.622
1.495 1.495 0.000
```

The 10 most intense peaks (2θ = 15–90°), in order of falling intensity:
2θ/deg	I/Imax
42.34	1000
42.77	549
34.82	362
30.47	319
78.04	313
62.09	174
77.14	115
23.34	113
56.64	108
35.33	103

---

11.
Structure and simulated powder X-ray diffraction pattern of Fe5Hg4 (a structure optimized by DFT (GGA-PBE); a wavelength of 1.5418 Å).

Structural model:
```
Fe5Hg4
1.0
-4.267 4.267 2.043
4.267 -4.267 2.043
4.267 4.267 -2.043
Fe Hg
5 4
Cartesian
0.000 0.000 0.000
3.048 3.048 0.000
1.219 -1.219 2.043
-1.219 1.219 2.043
1.219 1.219 2.043
2.690 0.000 0.000
5.843 0.000 0.000
0.000 2.690 0.000
0.000 5.843 0.000
```

The 10 most intense peaks (2θ = 15–90°), in order of falling intensity:
2θ/deg	I/Imax
38.57	1000
32.09	343
45.07	295
29.61	205
65.08	195
44.34	183
78.80	179
62.91	164
77.75	128
82.66	99

---

12.
Structure and simulated powder X-ray diffraction pattern of FeHg7 (a structure optimized by DFT (GGA-PBE); a wavelength of 1.5418 Å).

Structural model:
```
FeHg7
1.0
0.000 4.502 4.502
4.502 0.000 4.502
4.502 4.502 0.000
Fe Hg
1 7
Cartesian
0.000 0.000 0.000
2.251 2.251 0.000
2.251 0.000 2.251
4.502 2.251 2.251
0.000 2.251 2.251
2.251 4.502 2.251
2.251 2.251 4.502
4.502 4.502 4.502
```

The 10 most intense peaks (2θ = 15–90°), in order of falling intensity:
2θ/deg	I/Imax
34.50	1000
40.05	502
69.21	409
57.93	344
72.76	119
86.46	59
17.06	48
32.99	31
19.72	26
28.03	23

---

13.
Structure and simulated powder X-ray diffraction pattern of Fe4Hg (a structure optimized by DFT (GGA-PBE); a wavelength of 1.5418 Å).

Structural model:
```
Fe4Hg
1.0
0.000 2.137 10.145
1.620 0.000 10.145
1.620 2.137 0.000
Fe Hg
4 1
Cartesian
1.620 2.137 2.332
1.620 2.137 6.003
1.620 2.137 14.286
1.620 2.137 17.957
1.620 2.137 10.145
```

The 10 most intense peaks (2θ = 15–90°), in order of falling intensity:
2θ/deg	I/Imax
41.44	1000
42.28	251
37.27	238
17.48	203
35.03	189
44.66	166
76.75	153
26.36	141
63.19	114
35.39	110